1.
Theoretical X-ray powder pattern
Compound: SmGdCo17
Radiation: λ = 1.5418 Å (Cu Kα)
Structure: the GGA-PBE geometry in the Materials Project
Peak positions follow from Bragg's law for the DFT cell and can differ from measured ones.

Crystal structure
Unit cell a=8.3673 b=8.3673 c=12.1252 alpha=90.00 beta=90.00 gamma=120.00
Space group R3m (No. 160, hexagonal axes)
One atom of each set of equivalent atoms:
Sm1 0.0000 0.0000 0.0000 [3 per cell]
Gd1 0.0000 0.0000 0.3110 [3 per cell]
Co1 0.0000 0.0000 0.5589 [3 per cell]
Co2 0.0000 0.0000 0.7514 [3 per cell]
Co3 0.9998 0.2869 0.6553 [18 per cell]
Co4 0.0006 0.5003 0.1552 [9 per cell]
Co5 0.0036 0.5018 0.5021 [9 per cell]
Co6 0.1686 0.3372 0.1424 [9 per cell]

Most intense lines, 2θ = 10–90°, low angle first:
2θ = 30.76°, d 2.907, I = 39
2θ = 37.22°, d 2.415, I = 41
2θ = 38.73°, d 2.325, I = 34
2θ = 43.25°, d 2.092, I = 67
2θ = 43.66°, d 2.073, I = 100
2θ = 44.59°, d 2.032, I = 19
2θ = 44.85°, d 2.021, I = 32
2θ = 49.04°, d 1.858, I = 22
2θ = 63.14°, d 1.473, I = 18
2θ = 79.33°, d 1.208, I = 16

=====

2.
Theoretical X-ray powder pattern
Compound: GdYCo4
Radiation: λ = 1.5418 Å (Cu Kα)
Structure: the GGA-PBE geometry in the Materials Project
Peak positions follow from Bragg's law for the DFT cell and can differ from measured ones.

Crystal structure
Unit cell a=7.321 b=7.321 c=7.321 alpha=90.00 beta=90.00 gamma=90.00
Space group F-43m (No. 216)
One atom of each set of equivalent atoms:
Gd1 0.000 0.000 0.000 [4 per cell]
Y1 0.250 0.250 0.250 [4 per cell]
Co1 0.125 0.125 0.625 [16 per cell]

Most intense lines, 2θ = 10–90°, low angle first:
2θ = 21.02°, d 4.227, I = 9
2θ = 34.66°, d 2.588, I = 53
2θ = 40.88°, d 2.207, I = 100
2θ = 42.79°, d 2.113, I = 21
2θ = 62.12°, d 1.494, I = 19
2θ = 66.35°, d 1.409, I = 30
2θ = 73.13°, d 1.294, I = 22
2θ = 83.52°, d 1.157, I = 8
2θ = 87.35°, d 1.116, I = 11
2θ = 88.62°, d 1.104, I = 7

=====

3.
Theoretical X-ray powder pattern
Compound: CoGe2
Radiation: λ = 1.5418 Å (Cu Kα)
Structure: the GGA-PBE geometry in the Materials Project
Peak positions follow from Bragg's law for the DFT cell and can differ from measured ones.

Crystal structure
Unit cell a=10.931 b=5.675 c=5.677 alpha=90.00 beta=90.00 gamma=90.00
Space group Cmce (No. 64)
One atom of each set of equivalent atoms:
Co1 0.117 0.000 0.000 [8 per cell]
Ge1 0.000 0.159 0.341 [8 per cell]
Ge2 0.250 0.249 0.750 [8 per cell]

Most intense lines, 2θ = 10–90°, low angle first:
2θ = 32.77°, d 2.733, I = 19
2θ = 33.21°, d 2.698, I = 32
2θ = 35.65°, d 2.519, I = 19
2θ = 36.33°, d 2.473, I = 24
2θ = 39.13°, d 2.302, I = 20
2θ = 45.18°, d 2.007, I = 43
2θ = 46.11°, d 1.968, I = 100
2θ = 47.35°, d 1.920, I = 19
2θ = 51.60°, d 1.771, I = 38
2θ = 77.16°, d 1.236, I = 16

=====

4.
Theoretical X-ray powder pattern
Compound: Co4Ge
Radiation: λ = 1.5418 Å (Cu Kα)
Structure: the GGA-PBE geometry in the Materials Project
Peak positions follow from Bragg's law for the DFT cell and can differ from measured ones.

Crystal structure
Unit cell a=2.429 b=2.429 c=11.797 alpha=90.00 beta=90.00 gamma=90.00
Space group P4/mmm (No. 123)
One atom of each set of equivalent atoms:
Co1 0.000 0.000 0.098 [2 per cell]
Co2 0.000 0.000 0.291 [2 per cell]
Ge1 0.000 0.000 0.500 [1 per cell]

Most intense lines, 2θ = 10–90°, low angle first:
2θ = 30.31°, d 2.949, I = 2
2θ = 37.02°, d 2.429, I = 100
2θ = 38.14°, d 2.359, I = 44
2θ = 48.56°, d 1.875, I = 2
2θ = 53.35°, d 1.717, I = 33
2θ = 54.20°, d 1.692, I = 60
2θ = 67.45°, d 1.388, I = 30
2θ = 78.82°, d 1.214, I = 10
2θ = 81.61°, d 1.180, I = 4
2θ = 83.88°, d 1.153, I = 1